Structure and computed XRD peak list of CaPm8Dy4 (a PBE-relaxed structure; Cu Ka).
Peak positions follow from Bragg's law for the DFT cell and can differ from measured ones.

Peak list (10 most intense, 10° ≤ 2θ ≤ 90°, low angle first)
- 2θ = 30.15°, I 100.0
- 2θ = 34.92°, I 33.7
- 2θ = 35.01°, I 16.8
- 2θ = 50.24°, I 30.0
- 2θ = 59.65°, I 14.5
- 2θ = 59.75°, I 21.1
- 2θ = 59.82°, I 7.1
- 2θ = 62.68°, I 12.3
- 2θ = 81.73°, I 14.4
- 2θ = 84.46°, I 6.8

Crystal structure
a = 11.4721 Å, b = 5.1431 Å, c = 14.9568 Å
α = 90.00°, β = 94.29°, γ = 90.00°
Space group C2/m (No. 12)
Asymmetric unit:
Ca  0.0000  0.0000  0.0000 x2
Pm  0.0391  0.5000  0.3857 x4
Pm  0.0770  0.0000  0.7658 x4
Pm  0.1936  0.5000  0.9194 x4
Pm  0.2330  0.0000  0.3097 x4
Dy  0.1204  0.5000  0.1593 x4
Dy  0.1523  0.0000  0.5375 x4

Structure and computed XRD peak list of Ti6P3C (a PBE-relaxed structure; Cu Ka).
Peak positions follow from Bragg's law for the DFT cell and can differ from measured ones.

Peak list (10 most intense, 10° ≤ 2θ ≤ 90°, low angle first)
- 2θ = 32.94°, I 54.5
- 2θ = 33.07°, I 35.5
- 2θ = 36.04°, I 100.0
- 2θ = 36.48°, I 55.3
- 2θ = 37.41°, I 32.3
- 2θ = 38.87°, I 66.9
- 2θ = 42.30°, I 36.4
- 2θ = 43.17°, I 99.7
- 2θ = 46.97°, I 37.2
- 2θ = 54.45°, I 34.5

Crystal structure
a = 10.1299 Å, b = 5.5272 Å, c = 6.4718 Å
α = 90.00°, β = 122.92°, γ = 90.00°
Space group C2/m (No. 12)
Asymmetric unit:
Ti  0.0802  0.2439  0.3472 x8
Ti  0.2249  0.0000  0.8377 x4
P  0.0000  0.5000  0.0000 x2
P  0.2276  0.5000  0.7362 x4
C  0.0000  0.0000  0.5000 x2

Structure and computed XRD peak list of Ho4Cu3Ag (a PBE-relaxed structure; Cu Ka).
Peak positions follow from Bragg's law for the DFT cell and can differ from measured ones.

Peak list (10 most intense, 10° ≤ 2θ ≤ 90°, low angle first)
- 2θ = 25.46°, I 17.0
- 2θ = 36.22°, I 20.3
- 2θ = 36.34°, I 100.0
- 2θ = 52.26°, I 13.8
- 2θ = 52.38°, I 7.0
- 2θ = 65.22°, I 14.1
- 2θ = 65.40°, I 27.4
- 2θ = 77.17°, I 10.5
- 2θ = 88.30°, I 6.1
- 2θ = 88.46°, I 9.2

Crystal structure
a = 3.4932 Å, b = 4.9603 Å, c = 9.8824 Å
α = 90.00°, β = 90.00°, γ = 90.00°
Space group Pmmm (No. 47)
Asymmetric unit:
Ho  0.0000  0.0000  0.0000 x1
Ho  0.0000  0.0000  0.5000 x1
Ho  0.0000  0.5000  0.2404 x2
Cu  0.5000  0.0000  0.2494 x2
Cu  0.5000  0.5000  0.0000 x1
Ag  0.5000  0.5000  0.5000 x1

Structure and computed XRD peak list of Sr2ZnIr (a PBE-relaxed structure; Cu Ka).
Peak positions follow from Bragg's law for the DFT cell and can differ from measured ones.

Peak list (10 most intense, 10° ≤ 2θ ≤ 90°, low angle first)
- 2θ = 11.25°, I 100.0
- 2θ = 27.85°, I 31.2
- 2θ = 30.12°, I 40.6
- 2θ = 35.54°, I 26.2
- 2θ = 38.58°, I 13.9
- 2θ = 40.99°, I 37.2
- 2θ = 42.64°, I 23.9
- 2θ = 51.70°, I 9.0
- 2θ = 54.41°, I 11.2
- 2θ = 63.41°, I 20.3

Crystal structure
a = 7.6250 Å, b = 4.4055 Å, c = 8.2641 Å
α = 90.00°, β = 107.83°, γ = 90.00°
Space group Cm (No. 8)
Asymmetric unit:
Sr  0.0000  0.0000  0.0000 x2
Sr  0.1655  0.0000  0.4977 x2
Zn  0.2495  0.5000  0.2490 x2
Ir  0.4158  0.0000  0.2482 x2

Structure and computed XRD peak list of Sm8Ag2Rh3 (a PBE-relaxed structure; Cu Ka).
Peak positions follow from Bragg's law for the DFT cell and can differ from measured ones.

Peak list (10 most intense, 10° ≤ 2θ ≤ 90°, low angle first)
- 2θ = 24.58°, I 8.6
- 2θ = 25.25°, I 17.5
- 2θ = 35.52°, I 100.0
- 2θ = 35.67°, I 25.6
- 2θ = 36.34°, I 24.4
- 2θ = 51.84°, I 17.6
- 2θ = 63.25°, I 8.2
- 2θ = 63.98°, I 17.7
- 2θ = 64.86°, I 17.0
- 2θ = 75.20°, I 10.0

Crystal structure
a = 8.8195 Å, b = 4.9438 Å, c = 8.8243 Å
α = 90.00°, β = 110.40°, γ = 90.00°
Space group P2/m (No. 10)
Asymmetric unit:
Sm  0.1156  0.0000  0.3853 x2
Sm  0.1369  0.5000  0.8689 x2
Sm  0.3701  0.5000  0.6371 x2
Sm  0.3826  0.0000  0.1165 x2
Ag  0.2446  0.5000  0.2555 x2
Rh  0.2474  0.0000  0.7472 x2
Rh  0.5000  0.5000  0.0000 x1

Structure and computed XRD peak list of La7YAl8O24 (a PBE-relaxed structure; Cu Ka).
Peak positions follow from Bragg's law for the DFT cell and can differ from measured ones.

Peak list (10 most intense, 10° ≤ 2θ ≤ 90°, low angle first)
- 2θ = 23.42°, I 44.8
- 2θ = 33.35°, I 100.0
- 2θ = 41.15°, I 43.0
- 2θ = 47.89°, I 37.0
- 2θ = 53.97°, I 20.7
- 2θ = 59.61°, I 39.0
- 2θ = 70.05°, I 21.7
- 2θ = 75.00°, I 10.1
- 2θ = 79.83°, I 17.1
- 2θ = 84.60°, I 13.3

Crystal structure
a = 7.5984 Å, b = 7.5984 Å, c = 7.5984 Å
α = 90.00°, β = 90.00°, γ = 90.00°
Space group Pm-3m (No. 221)
Asymmetric unit:
La  0.0000  0.0000  0.0000 x1
La  0.0000  0.0000  0.5000 x3
La  0.0000  0.5000  0.5000 x3
Y  0.5000  0.5000  0.5000 x1
Al  0.2513  0.2513  0.2513 x8
O  0.0000  0.2506  0.2506 x12
O  0.2527  0.2527  0.5000 x12

Structure and computed XRD peak list of Re2MoSe4 (a PBE-relaxed structure; Cu Ka).
Peak positions follow from Bragg's law for the DFT cell and can differ from measured ones.

Peak list (10 most intense, 10° ≤ 2θ ≤ 90°, low angle first)
- 2θ = 13.14°, I 100.0
- 2θ = 28.89°, I 7.6
- 2θ = 32.25°, I 13.5
- 2θ = 34.25°, I 9.2
- 2θ = 38.89°, I 8.5
- 2θ = 39.03°, I 16.4
- 2θ = 41.60°, I 11.5
- 2θ = 42.43°, I 14.0
- 2θ = 44.25°, I 13.7
- 2θ = 44.39°, I 26.4

Crystal structure
a = 6.7603 Å, b = 6.7615 Å, c = 6.7620 Å
α = 93.51°, β = 93.12°, γ = 93.47°
Space group P1 (No. 1)
Asymmetric unit:
Re  0.0000  0.0000  0.0000 x1
Re  0.0401  0.2145  0.3481 x1
Re  0.6912  0.1782  0.1360 x1
Re  0.8676  0.3110  0.8247 x1
Mo  0.2179  0.3494  0.0378 x1
Mo  0.9093  0.5271  0.1748 x1
Se  0.0818  0.6383  0.8521 x1
Se  0.1803  0.1345  0.7092 x1
Se  0.2415  0.5431  0.3757 x1
Se  0.3264  0.0260  0.2152 x1
Se  0.5817  0.4906  0.9621 x1
Se  0.6687  0.9799  0.8049 x1
Se  0.7250  0.3892  0.4644 x1
Se  0.8258  0.8917  0.3167 x1

Structure and computed XRD peak list of Cd7In5 (a PBE-relaxed structure; Cu Ka).
Peak positions follow from Bragg's law for the DFT cell and can differ from measured ones.

Peak list (10 most intense, 10° ≤ 2θ ≤ 90°, low angle first)
- 2θ = 30.86°, I 71.0
- 2θ = 31.32°, I 68.9
- 2θ = 35.09°, I 100.0
- 2θ = 38.99°, I 74.5
- 2θ = 44.55°, I 50.6
- 2θ = 54.83°, I 26.0
- 2θ = 58.21°, I 22.0
- 2θ = 60.94°, I 19.1
- 2θ = 63.06°, I 16.8
- 2θ = 70.56°, I 11.8

Crystal structure
a = 9.1635 Å, b = 5.7113 Å, c = 11.6595 Å
α = 90.00°, β = 96.33°, γ = 90.00°
Space group C2/m (No. 12)
Asymmetric unit:
Cd  0.0000  0.0000  0.0000 x2
Cd  0.0757  0.0000  0.7513 x4
Cd  0.0929  0.5000  0.2533 x4
Cd  0.1652  0.0000  0.5065 x4
In  0.0000  0.5000  0.5000 x2
In  0.1680  0.5000  0.0052 x4
In  0.2428  0.5000  0.7464 x4

Structure and computed XRD peak list of Pm5CoSn (a PBE-relaxed structure; Cu Ka).
Peak positions follow from Bragg's law for the DFT cell and can differ from measured ones.

Peak list (10 most intense, 10° ≤ 2θ ≤ 90°, low angle first)
- 2θ = 26.66°, I 29.6
- 2θ = 26.90°, I 34.1
- 2θ = 30.65°, I 100.0
- 2θ = 30.97°, I 77.3
- 2θ = 31.14°, I 65.7
- 2θ = 31.90°, I 52.6
- 2θ = 32.02°, I 87.0
- 2θ = 32.57°, I 48.5
- 2θ = 33.13°, I 59.8
- 2θ = 58.63°, I 25.9

Crystal structure
a = 11.0013 Å, b = 6.9181 Å, c = 11.4692 Å
α = 90.00°, β = 107.65°, γ = 90.00°
Space group C2/c (No. 15)
Asymmetric unit:
Pm  0.0000  0.0215  0.2500 x4
Pm  0.1173  0.3228  0.0403 x8
Pm  0.2145  0.1960  0.6398 x8
Co  0.0000  0.0000  0.0000 x4
Sn  0.0000  0.4717  0.7500 x4

Structure and computed XRD peak list of BaCa2Bi4 (a PBE-relaxed structure; Cu Ka).
Peak positions follow from Bragg's law for the DFT cell and can differ from measured ones.

Peak list (10 most intense, 10° ≤ 2θ ≤ 90°, low angle first)
- 2θ = 18.34°, I 28.9
- 2θ = 21.43°, I 18.1
- 2θ = 27.88°, I 100.0
- 2θ = 32.93°, I 12.6
- 2θ = 33.98°, I 15.0
- 2θ = 35.85°, I 38.6
- 2θ = 36.29°, I 20.4
- 2θ = 40.01°, I 28.6
- 2θ = 46.35°, I 15.3
- 2θ = 63.63°, I 15.9

Crystal structure
a = 4.5069 Å, b = 4.9507 Å, c = 22.7833 Å
α = 90.00°, β = 90.00°, γ = 90.00°
Space group Immm (No. 71)
Asymmetric unit:
Ba  0.0000  0.0000  0.0000 x2
Ca  0.0000  0.5000  0.3228 x4
Bi  0.0000  0.0000  0.4285 x4
Bi  0.0000  0.5000  0.1764 x4

Structure and computed XRD peak list of Rb2TmCl5 (a PBE-relaxed structure; Cu Ka).
Peak positions follow from Bragg's law for the DFT cell and can differ from measured ones.

Peak list (10 most intense, 10° ≤ 2θ ≤ 90°, low angle first)
- 2θ = 11.90°, I 41.8
- 2θ = 16.28°, I 70.4
- 2θ = 21.60°, I 96.4
- 2θ = 22.02°, I 100.0
- 2θ = 24.17°, I 57.6
- 2θ = 25.12°, I 41.6
- 2θ = 31.16°, I 42.4
- 2θ = 32.90°, I 65.1
- 2θ = 35.63°, I 46.4
- 2θ = 48.77°, I 43.5

Crystal structure
a = 9.6351 Å, b = 7.3637 Å, c = 14.8779 Å
α = 90.00°, β = 90.00°, γ = 90.00°
Space group Pnma (No. 62)
Asymmetric unit:
Rb  0.0272  0.2500  0.2124 x4
Rb  0.1624  0.7500  0.4148 x4
Tm  0.1837  0.7500  0.0608 x4
Cl  0.0000  0.0000  0.0000 x4
Cl  0.0373  0.7500  0.2049 x4
Cl  0.1565  0.5051  0.6104 x8
Cl  0.2232  0.2500  0.3953 x4

Structure and computed XRD peak list of SrSbPd3 (a PBE-relaxed structure; Cu Ka).
Peak positions follow from Bragg's law for the DFT cell and can differ from measured ones.

Peak list (10 most intense, 10° ≤ 2θ ≤ 90°, low angle first)
- 2θ = 13.85°, I 48.1
- 2θ = 26.82°, I 64.2
- 2θ = 27.31°, I 52.5
- 2θ = 37.14°, I 55.0
- 2θ = 37.62°, I 92.6
- 2θ = 38.95°, I 100.0
- 2θ = 39.56°, I 97.8
- 2θ = 42.57°, I 73.3
- 2θ = 45.46°, I 45.8
- 2θ = 55.27°, I 58.9

Crystal structure
a = 5.6829 Å, b = 9.2499 Å, c = 8.8471 Å
α = 90.00°, β = 90.00°, γ = 90.00°
Space group Imma (No. 74)
Asymmetric unit:
Sr  0.0000  0.2500  0.0283 x4
Sb  0.0000  0.0000  0.5000 x4
Pd  0.0000  0.2500  0.6511 x4
Pd  0.2500  0.0058  0.7500 x8